The following is a calculated powder X-ray diffraction pattern of Y2U3S5O3. It was derived from a structure optimized by DFT (GGA-PBE), using CuKα.
Intensities are scaled so that the largest is 100.

Top 8 peaks for 2θ = 10–80°, in order of falling intensity:
Position (°2θ)  Rel. int.  h k l
26.98  100  2 0 5
11.37  70  1 0 2
28.19  66  2 1 2
27.27  53  0 1 3
25.48  53  4 0 0
37.67  49  4 1 3
30.79  41  1 1 4
35.87  36  3 1 4

Structure:
a b c (Å): 13.9806 3.8371 18.7478
angles (deg): 90.00 90.00 90.00
Space group Pnma (No. 62)
One atom of each set of equivalent atoms:
Y (0.1099, 0.2500, 0.0460) [4 per cell]
Y (0.1129, 0.2500, 0.6617) [4 per cell]
U (0.1017, 0.2500, 0.4362) [4 per cell]
U (0.1420, 0.7500, 0.8448) [4 per cell]
U (0.1518, 0.7500, 0.2708) [4 per cell]
S (0.0062, 0.7500, 0.7375) [4 per cell]
S (0.0152, 0.2500, 0.9105) [4 per cell]
S (0.0940, 0.7500, 0.5501) [4 per cell]
S (0.2129, 0.7500, 0.9837) [4 per cell]
S (0.2261, 0.2500, 0.1662) [4 per cell]
O (0.0676, 0.7500, 0.3794) [4 per cell]
O (0.1790, 0.2500, 0.7837) [4 per cell]
O (0.1964, 0.2500, 0.3352) [4 per cell]

=====

The following is a calculated powder X-ray diffraction pattern of ZrSO6. It was derived from a structure optimized by DFT (GGA-PBE), using CuKα.
Intensities are scaled so that the largest is 100.

Top 8 peaks for 2θ = 10–80°, in order of falling intensity:
Position (°2θ)  Rel. int.  h k l
20.12  100  2 0 1
21.57  55  1 1 1
31.19  37  0 2 0
15.48  27  2 0 0
25.47  21  2 1 1
35.02  20  4 1 0
47.60  20  5 0 2
51.48  16  1 2 3

Structure:
a b c (Å): 11.4515 5.7409 6.9118
angles (deg): 90.00 90.00 90.00
Space group Pnma (No. 62)
One atom of each set of equivalent atoms:
Zr (0.0718, 0.2500, 0.1679) [4 per cell]
S (0.1438, 0.7500, 0.4530) [4 per cell]
O (0.0341, 0.7500, 0.5668) [4 per cell]
O (0.0534, 0.0006, 0.9351) [8 per cell]
O (0.1497, 0.5401, 0.3295) [8 per cell]
O (0.2442, 0.7500, 0.5860) [4 per cell]

=====

The following is a calculated powder X-ray diffraction pattern of BaRuO5. It was derived from a structure optimized by DFT (GGA-PBE), using CuKα.
Intensities are scaled so that the largest is 100.

Top 8 peaks for 2θ = 10–80°, in order of falling intensity:
Position (°2θ)  Rel. int.  h k l
27.13  100  1 1 6
20.70  79  1 1 3
31.59  55  3 0 0
42.11  44  2 2 6
53.58  32  1 4 6
18.08  25  1 1 0
52.47  24  0 3 12
40.77  14  0 0 12

Structure:
a b c (Å): 9.8122 9.8122 26.5608
angles (deg): 90.00 90.00 120.00
Space group R-3c (No. 167, hexagonal axes)
One atom of each set of equivalent atoms:
Ba (0.0000, 0.0000, 0.0000) [6 per cell]
Ba (0.0000, 0.0000, 0.1618) [12 per cell]
Ru (0.0000, 0.3497, 0.2500) [18 per cell]
O (0.0000, 0.1678, 0.2500) [18 per cell]
O (0.0044, 0.4378, 0.3093) [36 per cell]
O (0.0857, 0.2030, 0.9175) [36 per cell]